Structure and computed XRD peak list of ErSb2 (a PBE-relaxed structure; Cu Ka).

Crystal structure
```
data_ErSb2
_chemical_formula_sum 'Er2 Sb4'
_symmetry_space_group_name_H-M 'C 2 2 2'
_symmetry_Int_Tables_number 21
_cell_length_a 3.539
_cell_length_b 6.298
_cell_length_c 7.605
_cell_angle_alpha 90.00
_cell_angle_beta 90.00
_cell_angle_gamma 90.00
loop_
_symmetry_equiv_pos_as_xyz
'x,y,z'
'-x,-y,z'
'x,-y,-z'
'-x,y,-z'
'x+1/2,y+1/2,z'
'-x+1/2,-y+1/2,z'
'x+1/2,-y+1/2,-z'
'-x+1/2,y+1/2,-z'
loop_
_atom_site_label
_atom_site_type_symbol
_atom_site_fract_x
_atom_site_fract_y
_atom_site_fract_z
Er1 Er 0.000 0.000 0.000
Sb1 Sb 0.250 0.250 0.322
```

The 12 most intense peaks (15° ≤ 2θ ≤ 90°), low angle first:
| index | 2θ/deg | I_rel |
| --- | --- | --- |
| 1 1 0 | 28.9 | 223 |
| 0 2 1 | 30.7 | 515 |
| 1 1 1 | 31.3 | 1000 |
| 0 0 3 | 35.4 | 388 |
| 0 2 2 | 37.1 | 420 |
| 1 1 2 | 37.5 | 520 |
| 1 1 3 | 46.4 | 136 |
| 1 3 1 | 52.1 | 237 |
| 1 3 2 | 56.4 | 158 |
| 1 1 4 | 56.9 | 200 |
| 2 2 0 | 60.0 | 175 |
| 2 2 3 | 71.6 | 196 |

---

Structure and computed XRD peak list of DyGa6Fe6 (a PBE-relaxed structure; Cu Ka).

Crystal structure
```
data_DyGa6Fe6
_chemical_formula_sum 'Dy4 Ga24 Fe24'
_symmetry_space_group_name_H-M 'F m m m'
_symmetry_Int_Tables_number 69
_symmetry_space_group_name_Hall '-F 2 2'
_cell_length_a 5.169
_cell_length_b 11.994
_cell_length_c 12.257
_cell_angle_alpha 90.00
_cell_angle_beta 90.00
_cell_angle_gamma 90.00
loop_
_atom_site_label
_atom_site_type_symbol
_atom_site_fract_x
_atom_site_fract_y
_atom_site_fract_z
Dy1 Dy 0.000 0.000 0.000
Ga1 Ga 0.000 0.168 0.184
Ga2 Ga 0.250 0.250 0.000
Fe1 Fe 0.000 0.101 0.391
Fe2 Fe 0.250 0.000 0.250
```

The 12 most intense peaks (15° ≤ 2θ ≤ 90°), low angle first:
| index | 2θ/deg | I_rel |
| --- | --- | --- |
| 0 0 4 | 29.2 | 139 |
| 0 4 2 | 33.3 | 163 |
| 2 0 0 | 34.7 | 222 |
| 1 3 3 | 35.9 | 730 |
| 2 2 2 | 40.8 | 913 |
| 1 1 5 | 41.5 | 656 |
| 0 4 4 | 42.2 | 1000 |
| 2 4 0 | 46.4 | 200 |
| 3 3 3 | 63.0 | 139 |
| 3 1 5 | 66.8 | 150 |
| 2 6 6 | 76.1 | 349 |
| 4 4 4 | 88.3 | 153 |

---

Structure and computed XRD peak list of Er17Te3Ru6 (a PBE-relaxed structure; Cu Ka).

Crystal structure
```
data_Er17Te3Ru6
_chemical_formula_sum 'Er68 Te12 Ru24'
_symmetry_space_group_name_H-M 'C 1 2/m 1'
_symmetry_Int_Tables_number 12
_cell_length_a 40.433
_cell_length_b 3.995
_cell_length_c 16.196
_cell_angle_alpha 90.00
_cell_angle_beta 95.23
_cell_angle_gamma 90.00
loop_
_symmetry_equiv_pos_as_xyz
'x,y,z'
'-x,-y,-z'
'-x,y,-z'
'x,-y,z'
'x+1/2,y+1/2,z'
'-x+1/2,-y+1/2,-z'
'-x+1/2,y+1/2,-z'
'x+1/2,-y+1/2,z'
loop_
_atom_site_label
_atom_site_type_symbol
_atom_site_fract_x
_atom_site_fract_y
_atom_site_fract_z
Er1 Er 0.000 0.000 0.000
Er2 Er 0.000 0.000 0.500
Er3 Er 0.025 0.500 0.334
Er4 Er 0.027 0.500 0.836
Er5 Er 0.058 0.500 0.111
Er6 Er 0.059 0.500 0.612
Er7 Er 0.090 0.000 0.268
Er8 Er 0.093 0.000 0.771
Er9 Er 0.131 0.000 0.597
Er10 Er 0.134 0.000 0.097
Er11 Er 0.139 0.500 0.422
Er12 Er 0.144 0.500 0.922
Er13 Er 0.176 0.000 0.292
Er14 Er 0.185 0.000 0.781
Er15 Er 0.196 0.500 0.600
Er16 Er 0.202 0.500 0.124
Er17 Er 0.230 0.500 0.930
Er18 Er 0.232 0.500 0.415
Te1 Te 0.074 0.000 0.454
Te2 Te 0.076 0.000 0.955
Te3 Te 0.250 0.000 0.253
Ru1 Ru 0.023 0.000 0.189
Ru2 Ru 0.025 0.000 0.692
Ru3 Ru 0.135 0.500 0.221
Ru4 Ru 0.138 0.500 0.723
Ru5 Ru 0.188 0.000 0.478
Ru6 Ru 0.191 0.000 0.994
```

The 12 most intense peaks (15° ≤ 2θ ≤ 90°), low angle first:
| index | 2θ/deg | I_rel |
| --- | --- | --- |
| 1 1 -4 | 31.4 | 1000 |
| 9 1 2 | 32.7 | 437 |
| 12 0 -4 | 33.2 | 739 |
| 14 0 2 | 34.0 | 625 |
| 5 1 4 | 34.2 | 395 |
| 7 1 -4 | 34.3 | 426 |
| 15 1 -2 | 41.2 | 354 |
| 11 1 4 | 41.5 | 134 |
| 0 2 0 | 45.4 | 434 |
| 12 2 -4 | 57.4 | 145 |
| 14 2 2 | 57.9 | 265 |
| 1 1 10 | 62.3 | 129 |

---

Please write out number 1 again, unchanged.
Structure and computed XRD peak list of ErSb2 (a PBE-relaxed structure; Cu Ka).

Crystal structure
```
data_ErSb2
_chemical_formula_sum 'Er2 Sb4'
_symmetry_space_group_name_H-M 'C 2 2 2'
_symmetry_Int_Tables_number 21
_cell_length_a 3.539
_cell_length_b 6.298
_cell_length_c 7.605
_cell_angle_alpha 90.00
_cell_angle_beta 90.00
_cell_angle_gamma 90.00
loop_
_symmetry_equiv_pos_as_xyz
'x,y,z'
'-x,-y,z'
'x,-y,-z'
'-x,y,-z'
'x+1/2,y+1/2,z'
'-x+1/2,-y+1/2,z'
'x+1/2,-y+1/2,-z'
'-x+1/2,y+1/2,-z'
loop_
_atom_site_label
_atom_site_type_symbol
_atom_site_fract_x
_atom_site_fract_y
_atom_site_fract_z
Er1 Er 0.000 0.000 0.000
Sb1 Sb 0.250 0.250 0.322
```

The 12 most intense peaks (15° ≤ 2θ ≤ 90°), low angle first:
| index | 2θ/deg | I_rel |
| --- | --- | --- |
| 1 1 0 | 28.9 | 223 |
| 0 2 1 | 30.7 | 515 |
| 1 1 1 | 31.3 | 1000 |
| 0 0 3 | 35.4 | 388 |
| 0 2 2 | 37.1 | 420 |
| 1 1 2 | 37.5 | 520 |
| 1 1 3 | 46.4 | 136 |
| 1 3 1 | 52.1 | 237 |
| 1 3 2 | 56.4 | 158 |
| 1 1 4 | 56.9 | 200 |
| 2 2 0 | 60.0 | 175 |
| 2 2 3 | 71.6 | 196 |

---

Which formula does entry 2 have?
DyGa6Fe6